Starting from DFT lattice parameters and positions (PBE+U), the X-ray diffraction stick pattern of SrNbFeSnO6 was computed for Cu Kα (weighted mean of Kα1 and Kα2).
Lines closer than 0.1° are merged.

Atomic structure:
```
SrNbFeSnO6
1.0
0.000 4.026 4.026
4.026 0.000 4.026
4.026 4.026 0.000
Sr Nb Fe Sn O
1 1 1 1 6
direct
0.000 0.000 0.000
0.250 0.250 0.250
0.750 0.750 0.750
0.500 0.500 0.500
0.001 0.001 0.499
0.001 0.499 0.001
0.001 0.499 0.499
0.499 0.001 0.001
0.499 0.001 0.499
0.499 0.499 0.001
```

Main lines, sorted by position (2θ from 5° to 70°):
| d/Å | Position (°2θ) | Rel. int. |
| --- | --- | --- |
| 4.649 | 19.09 | 4.9 |
| 2.847 | 31.42 | 100.0 |
| 2.428 | 37.03 | 2.9 |
| 2.325 | 38.74 | 8.1 |
| 2.013 | 45.03 | 34.9 |
| 1.847 | 49.33 | 1.3 |
| 1.644 | 55.94 | 39.7 |
| 1.550 | 59.66 | 1.1 |
| 1.423 | 65.58 | 20.9 |
| 1.361 | 69.00 | 1.1 |